Diffraction record for LaPIr. The PXRD pattern is calculated, not measured: it uses a GGA-PBE-relaxed structure and a wavelength of 1.5418 Å.

The 8 most intense peaks (2θ from 10° to 80°), low angle first:
(hkl)	two_theta	d_spacing	Rel. int.
1 0 3	28.36	3.147	45.2
1 1 2	32.82	2.729	100.0
1 0 5	37.99	2.368	50.8
2 0 0	43.39	2.085	38.2
1 0 7	49.44	1.843	22.0
2 1 5	59.02	1.565	28.2
2 1 7	67.86	1.381	17.0
3 1 2	72.92	1.297	20.1

Cell: 4.171 4.171 14.386 Å, 90.00 90.00 90.00°
Space group I4_1md (No. 109)
Symmetry-distinct sites (fractional):
La1 0.000 0.000 0.000 x4
P1 0.000 0.000 0.579 x4
Ir1 0.000 0.000 0.411 x4



Diffraction record for LaSbIr. The PXRD pattern is calculated, not measured: it uses a GGA-PBE-relaxed structure and a wavelength of 1.5418 Å.

The 8 most intense peaks (2θ from 10° to 80°), low angle first:
(hkl)	two_theta	d_spacing	Rel. int.
1 1 2	31.70	2.823	53.7
2 1 1	32.47	2.758	100.0
3 0 1	37.38	2.406	33.5
0 2 0	38.59	2.333	41.0
0 1 3	38.80	2.321	53.0
3 2 1	54.81	1.675	22.1
3 1 4	62.41	1.488	26.2
5 1 2	69.37	1.355	15.8

Cell: 7.565 4.666 8.027 Å, 90.00 90.00 90.00°
Space group Pnma (No. 62)
Symmetry-distinct sites (fractional):
La1 0.021 0.250 0.189 x4
Sb1 0.171 0.250 0.585 x4
Ir1 0.203 0.750 0.406 x4



Diffraction record for LaSi2Ir2. The PXRD pattern is calculated, not measured: it uses a GGA-PBE-relaxed structure and a wavelength of 1.5418 Å.

The 8 most intense peaks (2θ from 10° to 80°), low angle first:
(hkl)	two_theta	d_spacing	Rel. int.
0 0 3	26.58	3.354	33.9
1 0 2	27.62	3.230	30.8
1 1 1	31.32	2.856	79.8
1 0 3	34.17	2.624	66.2
1 1 2	35.01	2.563	100.0
2 0 0	42.94	2.106	71.8
1 1 4	47.30	1.922	30.1
2 1 3	55.98	1.643	32.3

Cell: 4.213 4.213 10.062 Å, 90.00 90.00 90.00°
Space group P4/nmm (No. 129, origin choice 2)
Symmetry-distinct sites (fractional):
La1 0.250 0.250 0.243 x2
Si1 0.250 0.250 0.628 x2
Si2 0.250 0.750 0.000 x2
Ir1 0.250 0.250 0.873 x2
Ir2 0.250 0.750 0.500 x2



Diffraction record for LaSi3Ir. The PXRD pattern is calculated, not measured: it uses a GGA-PBE-relaxed structure and a wavelength of 1.5418 Å.

The 8 most intense peaks (2θ from 10° to 80°), low angle first:
(hkl)	two_theta	d_spacing	Rel. int.
0 0 2	17.88	4.962	22.0
1 0 1	22.56	3.942	54.6
1 1 0	29.41	3.037	62.5
1 0 3	34.22	2.621	100.0
1 1 2	34.63	2.590	40.6
2 0 0	42.07	2.148	45.6
2 1 3	55.30	1.661	51.2
1 1 6	64.12	1.452	20.7

Cell: 4.295 4.295 9.923 Å, 90.00 90.00 90.00°
Space group I4mm (No. 107)
Symmetry-distinct sites (fractional):
La1 0.000 0.000 0.000 x2
Si1 0.000 0.000 0.415 x2
Si2 0.000 0.500 0.264 x4
Ir1 0.000 0.000 0.656 x2



Diffraction record for LaSi2Ir2. The PXRD pattern is calculated, not measured: it uses a GGA-PBE-relaxed structure and a wavelength of 1.5418 Å.

The 8 most intense peaks (2θ from 10° to 80°), low angle first:
(hkl)	two_theta	d_spacing	Rel. int.
0 0 2	17.12	5.179	32.0
0 0 4	34.64	2.590	20.7
1 1 2	35.17	2.551	100.0
2 0 0	43.66	2.073	34.1
1 1 4	46.81	1.941	15.3
2 0 4	56.89	1.618	20.4
1 1 6	62.42	1.488	19.7
3 1 2	74.68	1.271	22.8

Cell: 4.146 4.146 10.359 Å, 90.00 90.00 90.00°
Space group I4/mmm (No. 139)
Symmetry-distinct sites (fractional):
La1 0.000 0.000 0.000 x2
Si1 0.000 0.000 0.373 x4
Ir1 0.000 0.500 0.250 x4



Diffraction record for La3Sn13Ir4. The PXRD pattern is calculated, not measured: it uses a GGA-PBE-relaxed structure and a wavelength of 1.5418 Å.

The 8 most intense peaks (2θ from 10° to 80°), low angle first:
(hkl)	two_theta	d_spacing	Rel. int.
2 0 0	17.95	4.941	28.0
3 2 0	32.67	2.741	100.0
3 2 1	33.94	2.641	37.3
4 0 0	36.36	2.471	36.2
4 2 0	40.83	2.210	28.9
4 2 2	44.93	2.017	46.1
5 3 2	57.48	1.603	17.1
6 2 2	62.32	1.490	23.9

Cell: 9.883 9.883 9.883 Å, 90.00 90.00 90.00°
Space group Pm-3n (No. 223)
Symmetry-distinct sites (fractional):
La1 0.000 0.250 0.500 x6
Sn1 0.000 0.000 0.000 x2
Sn2 0.000 0.305 0.153 x24
Ir1 0.250 0.250 0.250 x8



Diffraction record for La5Sn10Ir4. The PXRD pattern is calculated, not measured: it uses a GGA-PBE-relaxed structure and a wavelength of 1.5418 Å.

The 8 most intense peaks (2θ from 10° to 80°), low angle first:
(hkl)	two_theta	d_spacing	Rel. int.
3 2 1	29.41	3.037	38.2
4 0 1	31.40	2.849	52.4
5 1 0	32.02	2.795	80.4
3 3 1	32.66	2.742	100.0
0 0 2	37.98	2.369	70.7
6 1 0	38.39	2.345	34.6
5 4 0	40.51	2.227	40.6
5 1 2	50.45	1.809	37.2

Cell: 14.262 14.262 4.738 Å, 90.00 90.00 90.00°
Space group P4/mbm (No. 127)
Symmetry-distinct sites (fractional):
La1 0.000 0.000 0.000 x2
La2 0.112 0.388 0.500 x4
La3 0.176 0.676 0.500 x4
Sn1 0.005 0.836 0.500 x8
Sn2 0.069 0.569 0.000 x4
Sn3 0.155 0.198 0.000 x8
Ir1 0.028 0.754 0.000 x8



Diffraction record for La2Sn4Ir. The PXRD pattern is calculated, not measured: it uses a GGA-PBE-relaxed structure and a wavelength of 1.5418 Å.

The 8 most intense peaks (2θ from 10° to 80°), low angle first:
(hkl)	two_theta	d_spacing	Rel. int.
1 1 3	31.07	2.879	100.0
0 1 5	32.21	2.779	18.8
1 0 6	36.79	2.443	24.8
1 1 5	37.62	2.391	24.8
0 2 0	38.05	2.365	33.0
2 0 0	38.38	2.346	32.2
1 2 6	53.96	1.699	16.7
2 2 0	55.15	1.665	22.9

Cell: 4.691 4.730 17.169 Å, 90.00 90.00 90.00°
Space group Amm2 (No. 38)
Symmetry-distinct sites (fractional):
La1 0.000 0.000 0.000 x2
La2 0.500 0.000 0.205 x2
Sn1 0.000 0.000 0.365 x2
Sn2 0.000 0.000 0.643 x2
Sn3 0.500 0.000 0.529 x2
Sn4 0.500 0.000 0.866 x2
Ir1 0.000 0.000 0.794 x2



Diffraction record for LiIr3. The PXRD pattern is calculated, not measured: it uses a GGA-PBE-relaxed structure and a wavelength of 1.5418 Å.

The 8 most intense peaks (2θ from 10° to 80°), low angle first:
(hkl)	two_theta	d_spacing	Rel. int.
0 2 0	20.20	4.396	25.6
0 1 1	21.44	4.145	50.8
1 0 1	38.44	2.342	39.3
0 4 0	41.06	2.198	40.7
0 2 2	43.68	2.072	62.0
1 2 1	43.80	2.067	100.0
1 4 1	57.51	1.603	23.5
0 6 2	76.69	1.243	29.2

Cell: 2.701 8.792 4.700 Å, 90.00 90.00 90.00°
Space group Imm2 (No. 44)
Symmetry-distinct sites (fractional):
Li1 0.000 0.000 0.000 x2
Ir1 0.000 0.240 0.675 x4
Ir2 0.000 0.500 0.985 x2



Diffraction record for LiIr. The PXRD pattern is calculated, not measured: it uses a GGA-PBE-relaxed structure and a wavelength of 1.5418 Å.

The 8 most intense peaks (2θ from 10° to 80°), low angle first:
(hkl)	two_theta	d_spacing	Rel. int.
0 0 1	20.16	4.404	100.0
1 0 0	38.92	2.314	59.0
0 0 2	40.98	2.202	18.5
1 0 1	44.21	2.049	87.4
1 0 2	57.79	1.595	37.9
1 1 0	70.48	1.336	11.4
1 1 1	74.16	1.279	17.8
1 0 3	76.90	1.240	17.5

Cell: 2.6723 2.6723 4.4044 Å, 90.00 90.00 120.00°
Space group P-6m2 (No. 187)
Symmetry-distinct sites (fractional):
Li1 0.0000 0.0000 0.0000 x1
Ir1 0.6667 0.3333 0.5000 x1



Diffraction record for LiMgIr. The PXRD pattern is calculated, not measured: it uses a GGA-PBE-relaxed structure and a wavelength of 1.5418 Å.

The 8 most intense peaks (2θ from 10° to 80°), low angle first:
(hkl)	two_theta	d_spacing	Rel. int.
1 1 1	25.44	3.501	100.0
2 0 0	29.46	3.032	35.9
2 2 0	42.15	2.144	53.5
3 1 1	49.87	1.828	48.9
2 2 2	52.25	1.751	10.0
3 3 1	67.30	1.391	19.9
4 2 0	69.29	1.356	13.0
4 2 2	77.04	1.238	18.0

Cell: 6.064 6.064 6.064 Å, 90.00 90.00 90.00°
Space group P-43m (No. 215)
Symmetry-distinct sites (fractional):
Li1 0.000 0.000 0.000 x1
Li2 0.000 0.000 0.500 x3
Mg1 0.000 0.500 0.500 x3
Mg2 0.500 0.500 0.500 x1
Ir1 0.244 0.244 0.244 x4